This entry pairs a crystal structure of NbIrW2 with its calculated powder diffraction line list. Radiation: copper Kα. Structure: a DFT-relaxed cell (GGA-PBE, OQMD).
Peak positions follow from Bragg's law for the DFT cell and can differ from measured ones.

Largest 10 diffraction maxima, most intense first, 2θ from 15° to 90°:
hkl, 2θ/deg, intensity
2 2 0, 39.9, 100
4 2 2, 72.5, 35
4 0 0, 57.8, 17
4 4 0, 86.2, 11
1 1 1, 24.1, 4
2 0 0, 27.9, 3
3 1 1, 47.2, 2
4 2 0, 65.4, 1
3 3 1, 63.5, 1
2 2 2, 49.5, 1

Crystal structure
```
data_NbIrW2
_chemical_formula_sum 'Nb4 Ir4 W8'
_space_group_name_H-M_alt 'F -4 3 m'
_space_group_IT_number 216
_space_group_name_Hall 'F -4 2 3'
_cell_length_a 6.385
_cell_length_b 6.385
_cell_length_c 6.385
_cell_angle_alpha 90.00
_cell_angle_beta 90.00
_cell_angle_gamma 90.00
loop_
_atom_site_label
_atom_site_fract_x
_atom_site_fract_y
_atom_site_fract_z
Nb1 0.000 0.000 0.000
Ir1 0.250 0.250 0.250
W1 0.000 0.000 0.500
W2 0.250 0.250 0.750
```